1.
Theoretical powder diffractogram
Compound: Na2Ga9Pd6
Radiation: Cu Kα, 1.54184 Å
Structure: a DFT-relaxed cell (PBE, Alexandria)
Lines closer than 0.1° are merged.

Cell: 5.4540 5.4540 12.5142 Å, 90.00 90.00 120.00°
Space group P6/mmm (No. 191)
Inequivalent atoms, fractional coordinates:
Na1 0.0000 0.0000 0.1670 (multiplicity 2)
Ga1 0.0000 0.5000 0.0000 (multiplicity 3)
Ga2 0.0000 0.5000 0.3364 (multiplicity 6)
Pd1 0.3333 0.6667 0.1686 (multiplicity 4)
Pd2 0.3333 0.6667 0.5000 (multiplicity 2)

Top 12 peaks for 10 to 90 degrees two-theta, by angle:
- hkl 1 0 0, d 4.723, I = 99
- hkl 1 1 0, d 2.727, I = 23
- hkl 1 1 3, d 2.283, I = 100
- hkl 0 0 6, d 2.086, I = 28
- hkl 2 0 3, d 2.055, I = 76
- hkl 1 0 6, d 1.908, I = 17
- hkl 2 1 0, d 1.785, I = 14
- hkl 3 0 3, d 1.473, I = 24
- hkl 2 2 0, d 1.364, I = 20
- hkl 1 1 9, d 1.239, I = 13
- hkl 2 0 9, d 1.198, I = 13
- hkl 2 2 6, d 1.141, I = 22



2.
Theoretical powder diffractogram
Compound: Na8B13C3
Radiation: Cu Kα, 1.54184 Å
Structure: a DFT-relaxed cell (PBE, Alexandria)
Lines closer than 0.1° are merged.

Cell: 2.8005 17.3499 10.6543 Å, 90.00 90.00 90.00°
Space group Amm2 (No. 38)
Inequivalent atoms, fractional coordinates:
Na1 0.0000 0.1237 0.0000 (multiplicity 4)
Na2 0.0000 0.1251 0.5010 (multiplicity 4)
Na3 0.5000 0.1248 0.2509 (multiplicity 4)
Na4 0.5000 0.1250 0.7512 (multiplicity 4)
B1 0.0000 0.0000 0.1761 (multiplicity 2)
B2 0.0000 0.0000 0.3350 (multiplicity 2)
B3 0.0000 0.0000 0.6563 (multiplicity 2)
B4 0.0000 0.0000 0.8185 (multiplicity 2)
B5 0.0000 0.2505 0.1760 (multiplicity 4)
B6 0.0000 0.2499 0.3426 (multiplicity 4)
B7 0.5000 0.0000 0.0780 (multiplicity 2)
B8 0.5000 0.0000 0.4356 (multiplicity 2)
B9 0.5000 0.0000 0.9193 (multiplicity 2)
B10 0.5000 0.2504 0.0687 (multiplicity 4)
C1 0.5000 0.0000 0.5816 (multiplicity 2)
C2 0.5000 0.2496 0.4204 (multiplicity 4)

Top 12 peaks for 10 to 90 degrees two-theta, by angle:
- hkl 0 0 4, d 2.664, I = 14
- hkl 1 0 2, d 2.479, I = 16
- hkl 0 4 4, d 2.270, I = 51
- hkl 0 8 0, d 2.169, I = 38
- hkl 1 4 2, d 2.152, I = 100
- hkl 1 8 2, d 1.632, I = 10
- hkl 1 0 6, d 1.500, I = 18
- hkl 0 4 8, d 1.273, I = 8
- hkl 1 12 2, d 1.249, I = 13
- hkl 1 8 6, d 1.233, I = 18
- hkl 2 4 4, d 1.192, I = 10
- hkl 2 8 0, d 1.176, I = 8



3.
Theoretical powder diffractogram
Compound: La3TaTi2O11
Radiation: Cu Kα, 1.54184 Å
Structure: a DFT-relaxed cell (PBE, Alexandria)
Lines closer than 0.1° are merged.

Cell: 3.9411 20.4270 5.6506 Å, 90.00 90.00 90.00°
Space group Pmc2_1 (No. 26)
Inequivalent atoms, fractional coordinates:
La1 0.0000 0.0651 0.0000 (multiplicity 2)
La2 0.0000 0.2578 0.4226 (multiplicity 2)
La3 0.5000 0.3716 0.9105 (multiplicity 2)
Ta1 0.0000 0.4375 0.4568 (multiplicity 2)
Ti1 0.5000 0.0775 0.5038 (multiplicity 2)
Ti2 0.5000 0.2046 0.9705 (multiplicity 2)
O1 0.0000 0.0624 0.5430 (multiplicity 2)
O2 0.0000 0.1929 0.0164 (multiplicity 2)
O3 0.0000 0.3538 0.6662 (multiplicity 2)
O4 0.0000 0.3805 0.1869 (multiplicity 2)
O5 0.0000 0.4789 0.7982 (multiplicity 2)
O6 0.5000 0.0159 0.2460 (multiplicity 2)
O7 0.5000 0.1157 0.8304 (multiplicity 2)
O8 0.5000 0.1495 0.3257 (multiplicity 2)
O9 0.5000 0.2549 0.7063 (multiplicity 2)
O10 0.5000 0.2778 0.1824 (multiplicity 2)
O11 0.5000 0.4348 0.4957 (multiplicity 2)

Top 12 peaks for 10 to 90 degrees two-theta, by angle:
- hkl 0 4 1, d 3.789, I = 24
- hkl 0 6 0, d 3.405, I = 38
- hkl 0 5 1, d 3.311, I = 48
- hkl 1 1 1, d 3.193, I = 57
- hkl 1 2 1, d 3.082, I = 100
- hkl 0 6 1, d 2.917, I = 62
- hkl 0 0 2, d 2.825, I = 48
- hkl 1 4 1, d 2.731, I = 47
- hkl 0 6 2, d 2.174, I = 22
- hkl 1 4 2, d 2.094, I = 28
- hkl 2 0 0, d 1.971, I = 38
- hkl 2 5 1, d 1.693, I = 25